Structure and simulated powder diffractogram of Dy4GeCl5 (the GGA-PBE geometry in Alexandria; Cu Kα).
Lines closer than 0.1° are merged.

```
data_Dy4GeCl5
_space_group_name_H-M_alt 'P 1'
_space_group_IT_number 1
_cell_length_a 8.971
_cell_length_b 8.971
_cell_length_c 8.121
_cell_angle_alpha 102.50
_cell_angle_beta 102.50
_cell_angle_gamma 25.47
loop_
_space_group_symop_operation_xyz
'x,y,z'
loop_
_atom_site_label
_atom_site_type_symbol
_atom_site_fract_x
_atom_site_fract_y
_atom_site_fract_z
_atom_site_occupancy
Dy1 Dy 0.001 0.001 0.233 1
Dy2 Dy 0.343 0.343 0.915 1
Dy3 Dy 0.657 0.657 0.085 1
Dy4 Dy 0.999 0.999 0.767 1
Ge1 Ge 0.500 0.500 0.000 1
Cl1 Cl 0.166 0.166 0.323 1
Cl2 Cl 0.173 0.173 0.849 1
Cl3 Cl 0.500 0.500 0.500 1
Cl4 Cl 0.827 0.827 0.151 1
Cl5 Cl 0.834 0.834 0.677 1
```

Largest 8 diffraction maxima, in order of rising 2θ, 10 to 80 degrees two-theta:
- 2θ = 10.37°, rel. 43
- 2θ = 11.17°, rel. 91
- 2θ = 27.47°, rel. 25
- 2θ = 31.46°, rel. 49
- 2θ = 31.58°, rel. 100
- 2θ = 45.00°, rel. 35
- 2θ = 45.35°, rel. 33
- 2θ = 56.70°, rel. 20